Record 1
Structure and simulated X-ray diffraction stick pattern of Li2Sc2CuSn2Pd (the GGA-PBE geometry in OQMD; Cu Kα X-rays).

The 6 most intense peaks (10 to 90 degrees two-theta), sorted by position:
2θ (°)	Rel. int.	hkl
23.77	464	1 0 1
39.31	1000	2 0 0
46.46	242	2 1 1
56.75	112	2 2 0
71.22	226	3 1 2
71.34	111	2 0 4

Structural model:
Cell: 4.588 4.588 6.471 Å, 90.00 90.00 90.00°
Space group P-4m2 (No. 115)
One atom of each set of equivalent atoms:
Li 0.000 0.000 0.000
Li 0.500 0.500 0.500
Sc 0.000 0.500 0.747
Cu 0.000 0.000 0.500
Sn 0.000 0.500 0.257
Pd 0.500 0.500 0.000


Record 2
Structure and simulated X-ray diffraction stick pattern of LiCuTePdSe2 (the GGA-PBE geometry in OQMD; Cu Kα X-rays).

The 6 most intense peaks (10 to 90 degrees two-theta), sorted by position:
2θ (°)	Rel. int.	hkl
13.68	921	0 2 0
26.83	345	1 1 1
33.32	538	1 3 1
35.90	410	0 0 4
36.87	1000	1 3 2
46.64	423	1 5 2

Structural model:
Cell: 3.661 12.950 10.006 Å, 90.00 90.00 90.00°
Space group Cmcm (No. 63)
One atom of each set of equivalent atoms:
Li 0.000 0.212 0.250
Cu 0.000 0.455 0.750
Te 0.000 0.097 0.750
Pd 0.000 0.000 0.000
Se 0.000 0.361 0.543


Record 3
Structure and simulated X-ray diffraction stick pattern of Li4CuSi2Pd (the GGA-PBE geometry in OQMD; Cu Kα X-rays).

The 6 most intense peaks (10 to 90 degrees two-theta), sorted by position:
2θ (°)	Rel. int.	hkl
26.45	1000	1 0 1
30.64	242	1 1 0
43.87	798	2 0 0
51.96	443	2 1 1
70.30	172	3 0 1
80.64	253	3 1 2

Structural model:
Cell: 4.129 4.129 5.832 Å, 90.00 90.00 90.00°
Space group P-4m2 (No. 115)
One atom of each set of equivalent atoms:
Li 0.000 0.000 0.000
Li 0.000 0.500 0.743
Li 0.500 0.500 0.500
Cu 0.000 0.000 0.500
Si 0.000 0.500 0.252
Pd 0.500 0.500 0.000